(1)
The following is a computed powder diffraction line list of V4CoH12C2N6O20. It was derived from a PBE+U-relaxed structure, using Cu Kα X-rays.
Lines closer than 0.1° are merged.

Principal peaks in the range 2θ from 15° to 90°, most intense first:
2θ = 17.94°, d 4.944, rel. 100; 2θ = 32.34°, d 2.768, rel. 96; 2θ = 26.50°, d 3.364, rel. 85; 2θ = 23.28°, d 3.820, rel. 81; 2θ = 27.58°, d 3.234, rel. 79; 2θ = 25.67°, d 3.470, rel. 67; 2θ = 19.34°, d 4.590, rel. 62; 2θ = 29.12°, d 3.066, rel. 53; 2θ = 21.69°, d 4.097, rel. 44; 2θ = 27.39°, d 3.256, rel. 43

Crystal structure
Cell: 3.770 8.578 18.404 Å, 89.28 86.05 78.43°
Sites, in units of the cell vectors:
V (0.189, 0.101, 0.049)
V (0.227, 0.091, 0.444)
V (0.773, 0.909, 0.556)
V (0.811, 0.899, 0.951)
Co (0.000, 0.500, 0.000)
H (0.183, 0.630, 0.850)
H (0.187, 0.875, 0.789)
H (0.322, 0.456, 0.798)
H (0.339, 0.366, 0.360)
H (0.374, 0.542, 0.314)
H (0.470, 0.879, 0.708)
H (0.530, 0.121, 0.292)
H (0.626, 0.458, 0.686)
H (0.661, 0.634, 0.640)
H (0.678, 0.544, 0.202)
H (0.813, 0.125, 0.211)
H (0.817, 0.370, 0.150)
C (0.418, 0.657, 0.746)
C (0.582, 0.343, 0.254)
N (0.312, 0.575, 0.803)
N (0.354, 0.815, 0.748)
N (0.403, 0.422, 0.312)
N (0.597, 0.578, 0.688)
N (0.646, 0.185, 0.252)
N (0.688, 0.425, 0.197)
O (0.076, 0.310, 0.054)
O (0.128, 0.257, 0.679)
O (0.154, 0.288, 0.443)
O (0.183, 0.040, 0.134)
O (0.262, 0.947, 0.533)
O (0.290, 0.253, 0.740)
O (0.292, 0.924, 0.979)
O (0.294, 0.027, 0.357)
O (0.298, 0.295, 0.621)
O (0.419, 0.544, 0.032)
O (0.581, 0.456, 0.968)
O (0.702, 0.705, 0.379)
O (0.706, 0.973, 0.643)
O (0.708, 0.076, 0.021)
O (0.710, 0.747, 0.260)
O (0.738, 0.053, 0.467)
O (0.817, 0.960, 0.866)
O (0.846, 0.712, 0.557)
O (0.872, 0.743, 0.321)
O (0.924, 0.690, 0.946)

=====

(2)
The following is a computed powder diffraction line list of NaCoH2C3O7. It was derived from a PBE+U-relaxed structure, using Cu Kα X-rays.
Lines closer than 0.1° are merged.

Principal peaks in the range 2θ from 15° to 90°, most intense first:
2θ = 25.61°, d 3.479, rel. 100; 2θ = 16.98°, d 5.221, rel. 99; 2θ = 18.92°, d 4.690, rel. 86; 2θ = 22.75°, d 3.908, rel. 53; 2θ = 33.17°, d 2.701, rel. 33; 2θ = 42.55°, d 2.124, rel. 27; 2θ = 16.20°, d 5.472, rel. 25; 2θ = 31.64°, d 2.828, rel. 22; 2θ = 36.50°, d 2.462, rel. 22; 2θ = 42.98°, d 2.105, rel. 22

Crystal structure
Cell: 5.923 15.796 7.066 Å, 90.00 100.03 90.00°
Sites, in units of the cell vectors:
Na (0.033, 0.183, 0.192)
Na (0.033, 0.317, 0.692)
Na (0.967, 0.683, 0.308)
Na (0.967, 0.817, 0.808)
Co (0.228, 0.100, 0.783)
Co (0.228, 0.400, 0.283)
Co (0.772, 0.600, 0.717)
Co (0.772, 0.900, 0.217)
H (0.325, 0.028, 0.138)
H (0.325, 0.472, 0.638)
H (0.452, 0.119, 0.141)
H (0.452, 0.381, 0.641)
H (0.548, 0.619, 0.359)
H (0.548, 0.881, 0.859)
H (0.675, 0.528, 0.362)
H (0.675, 0.972, 0.862)
C (0.005, 0.536, 0.074)
C (0.005, 0.964, 0.574)
C (0.298, 0.649, 0.714)
C (0.298, 0.851, 0.214)
C (0.445, 0.731, 0.747)
C (0.445, 0.769, 0.247)
C (0.555, 0.231, 0.753)
C (0.555, 0.269, 0.253)
C (0.702, 0.149, 0.786)
C (0.702, 0.351, 0.286)
C (0.995, 0.036, 0.426)
C (0.995, 0.464, 0.926)
O (0.082, 0.659, 0.675)
O (0.082, 0.841, 0.175)
O (0.100, 0.104, 0.483)
O (0.100, 0.396, 0.983)
O (0.117, 0.523, 0.242)
O (0.117, 0.977, 0.742)
O (0.311, 0.087, 0.086)
O (0.311, 0.413, 0.586)
O (0.344, 0.223, 0.766)
O (0.344, 0.277, 0.266)
O (0.352, 0.701, 0.285)
O (0.352, 0.799, 0.785)
O (0.408, 0.580, 0.729)
O (0.408, 0.920, 0.229)
O (0.592, 0.080, 0.771)
O (0.592, 0.420, 0.271)
O (0.648, 0.201, 0.215)
O (0.648, 0.299, 0.715)
O (0.656, 0.723, 0.734)
O (0.656, 0.777, 0.234)
O (0.689, 0.587, 0.414)
O (0.689, 0.913, 0.914)
O (0.883, 0.023, 0.258)
O (0.883, 0.477, 0.758)
O (0.900, 0.604, 0.017)
O (0.900, 0.896, 0.517)
O (0.918, 0.159, 0.825)
O (0.918, 0.341, 0.325)

=====

(3)
The following is a computed powder diffraction line list of Na2CoH8C2O10. It was derived from a PBE+U-relaxed structure, using Cu Kα X-rays.
Lines closer than 0.1° are merged.

Principal peaks in the range 2θ from 15° to 90°, most intense first:
2θ = 19.46°, d 4.561, rel. 100; 2θ = 21.12°, d 4.207, rel. 78; 2θ = 35.79°, d 2.509, rel. 71; 2θ = 16.03°, d 5.529, rel. 68; 2θ = 40.87°, d 2.208, rel. 64; 2θ = 28.59°, d 3.122, rel. 57; 2θ = 33.53°, d 2.673, rel. 56; 2θ = 33.77°, d 2.654, rel. 53; 2θ = 16.70°, d 5.308, rel. 42; 2θ = 37.47°, d 2.400, rel. 31

Crystal structure
Cell: 5.638 5.638 14.416 Å, 95.69 95.69 79.77°
Sites, in units of the cell vectors:
Na (0.096, 0.744, 0.564)
Na (0.256, 0.904, 0.936)
Na (0.744, 0.096, 0.064)
Na (0.904, 0.256, 0.436)
Co (0.458, 0.542, 0.750)
Co (0.542, 0.458, 0.250)
H (0.034, 0.714, 0.372)
H (0.138, 0.758, 0.124)
H (0.242, 0.862, 0.376)
H (0.264, 0.351, 0.059)
H (0.286, 0.966, 0.128)
H (0.301, 0.389, 0.954)
H (0.351, 0.264, 0.559)
H (0.389, 0.301, 0.454)
H (0.611, 0.699, 0.546)
H (0.649, 0.736, 0.441)
H (0.699, 0.611, 0.046)
H (0.714, 0.034, 0.872)
H (0.736, 0.649, 0.941)
H (0.758, 0.138, 0.624)
H (0.862, 0.242, 0.876)
H (0.966, 0.286, 0.628)
C (0.016, 0.536, 0.786)
C (0.464, 0.984, 0.714)
C (0.536, 0.016, 0.286)
C (0.984, 0.464, 0.214)
O (0.042, 0.551, 0.699)
O (0.094, 0.856, 0.406)
O (0.144, 0.906, 0.094)
O (0.186, 0.489, 0.183)
O (0.209, 0.541, 0.845)
O (0.278, 0.349, 0.504)
O (0.349, 0.278, 0.004)
O (0.449, 0.958, 0.801)
O (0.459, 0.791, 0.655)
O (0.489, 0.186, 0.683)
O (0.511, 0.814, 0.317)
O (0.541, 0.209, 0.345)
O (0.551, 0.042, 0.199)
O (0.651, 0.722, 0.996)
O (0.722, 0.651, 0.496)
O (0.791, 0.459, 0.155)
O (0.814, 0.511, 0.817)
O (0.856, 0.094, 0.906)
O (0.906, 0.144, 0.594)
O (0.958, 0.449, 0.301)